[1]
Theoretical X-ray diffraction stick pattern of TbYMg for Cu Kα (weighted mean of Kα1 and Kα2), from a DFT-relaxed cell (GGA-PBE, Alexandria).
Lines closer than 0.1° are merged.

Peak list (10 most intense, 2θ = 10–90°, in order of rising 2θ)
| two_theta | intensity | hkl |
| --- | --- | --- |
| 25.0 | 41 | 0 1 2 |
| 27.4 | 30 | 1 0 -1 |
| 32.0 | 48 | 1 0 -2 |
| 32.1 | 95 | 1 1 1 |
| 32.9 | 100 | 0 1 3 |
| 33.2 | 49 | 0 2 0 |
| 36.2 | 23 | 1 1 2 |
| 46.8 | 33 | 1 2 -2 |
| 59.2 | 22 | 0 3 3 |
| 63.6 | 29 | 2 1 3 |

Structural model:
Unit cell a=3.471 b=5.393 c=9.467 alpha=90.00 beta=90.05 gamma=90.00
Space group P2_1 (No. 4)
Asymmetric unit:
Tb (0.002, 0.000, 0.084) x2
Y (0.500, 0.000, 0.742) x2
Mg (0.001, 0.501, 0.580) x2


[2]
Theoretical X-ray diffraction stick pattern of Tb3Y7Mg for Cu Kα (weighted mean of Kα1 and Kα2), from a DFT-relaxed cell (GGA-PBE, Alexandria).
Lines closer than 0.1° are merged.

Peak list (10 most intense, 2θ = 10–90°, in order of rising 2θ)
| two_theta | intensity | hkl |
| --- | --- | --- |
| 25.1 | 11 | 4 0 2 |
| 28.6 | 11 | 5 1 1 |
| 31.1 | 13 | 3 1 3 |
| 32.2 | 100 | 0 0 4 |
| 32.6 | 29 | 4 2 0 |
| 33.3 | 40 | 6 0 2 |
| 46.5 | 17 | 4 2 4 |
| 57.4 | 14 | 2 2 6 |
| 59.3 | 15 | 10 2 2 |
| 64.6 | 10 | 6 4 2 |

Structural model:
Unit cell a=18.461 b=6.834 c=11.123 alpha=90.00 beta=90.00 gamma=90.00
Space group Cmc2_1 (No. 36)
Asymmetric unit:
Tb (0.000, 0.000, 0.000) x4
Tb (0.238, 0.010, 0.251) x8
Y (0.000, 0.230, 0.750) x4
Y (0.087, 0.288, 0.251) x8
Y (0.159, 0.258, 0.966) x8
Y (0.160, 0.257, 0.534) x8
Mg (0.000, 0.500, 0.001) x4


Repeat the second record exactly.
Theoretical X-ray diffraction stick pattern of Tb3Y7Mg for Cu Kα (weighted mean of Kα1 and Kα2), from a DFT-relaxed cell (GGA-PBE, Alexandria).
Lines closer than 0.1° are merged.

Peak list (10 most intense, 2θ = 10–90°, in order of rising 2θ)
| two_theta | intensity | hkl |
| --- | --- | --- |
| 25.1 | 11 | 4 0 2 |
| 28.6 | 11 | 5 1 1 |
| 31.1 | 13 | 3 1 3 |
| 32.2 | 100 | 0 0 4 |
| 32.6 | 29 | 4 2 0 |
| 33.3 | 40 | 6 0 2 |
| 46.5 | 17 | 4 2 4 |
| 57.4 | 14 | 2 2 6 |
| 59.3 | 15 | 10 2 2 |
| 64.6 | 10 | 6 4 2 |

Structural model:
Unit cell a=18.461 b=6.834 c=11.123 alpha=90.00 beta=90.00 gamma=90.00
Space group Cmc2_1 (No. 36)
Asymmetric unit:
Tb (0.000, 0.000, 0.000) x4
Tb (0.238, 0.010, 0.251) x8
Y (0.000, 0.230, 0.750) x4
Y (0.087, 0.288, 0.251) x8
Y (0.159, 0.258, 0.966) x8
Y (0.160, 0.257, 0.534) x8
Mg (0.000, 0.500, 0.001) x4


What did the second record say?
Theoretical X-ray diffraction stick pattern of Tb3Y7Mg for Cu Kα (weighted mean of Kα1 and Kα2), from a DFT-relaxed cell (GGA-PBE, Alexandria).
Lines closer than 0.1° are merged.

Peak list (10 most intense, 2θ = 10–90°, in order of rising 2θ)
| two_theta | intensity | hkl |
| --- | --- | --- |
| 25.1 | 11 | 4 0 2 |
| 28.6 | 11 | 5 1 1 |
| 31.1 | 13 | 3 1 3 |
| 32.2 | 100 | 0 0 4 |
| 32.6 | 29 | 4 2 0 |
| 33.3 | 40 | 6 0 2 |
| 46.5 | 17 | 4 2 4 |
| 57.4 | 14 | 2 2 6 |
| 59.3 | 15 | 10 2 2 |
| 64.6 | 10 | 6 4 2 |

Structural model:
Unit cell a=18.461 b=6.834 c=11.123 alpha=90.00 beta=90.00 gamma=90.00
Space group Cmc2_1 (No. 36)
Asymmetric unit:
Tb (0.000, 0.000, 0.000) x4
Tb (0.238, 0.010, 0.251) x8
Y (0.000, 0.230, 0.750) x4
Y (0.087, 0.288, 0.251) x8
Y (0.159, 0.258, 0.966) x8
Y (0.160, 0.257, 0.534) x8
Mg (0.000, 0.500, 0.001) x4